The following is a calculated powder X-ray diffraction pattern of Ac3CoAg2O9. It was derived from a crystal structure in Alexandria, relaxed with GGA+U, using CuKα.

a = 5.780 Å, b = 5.780 Å, c = 7.099 Å
α = 90.00°, β = 90.00°, γ = 120.00°
Positions (direct):
Ac 0.000 0.000 0.000
Ac 0.333 0.667 0.662
Ac 0.667 0.333 0.338
Co 0.000 0.000 0.500
Ag 0.333 0.667 0.175
Ag 0.667 0.333 0.825
O 0.000 0.500 0.000
O 0.159 0.319 0.346
O 0.159 0.841 0.346
O 0.319 0.159 0.654
O 0.500 0.000 0.000
O 0.500 0.500 0.000
O 0.681 0.841 0.346
O 0.841 0.159 0.654
O 0.841 0.681 0.654

The 6 most intense peaks (2θ from 10° to 90°), in order of rising 2θ:
| 2θ (°) | I/Imax |
| --- | --- |
| 21.72 | 15 |
| 30.91 | 100 |
| 38.10 | 13 |
| 44.28 | 27 |
| 55.01 | 30 |
| 73.16 | 18 |